# Sc3AlTl3S8
Computed powder diffractogram, Cu Kα. Input: the PBE geometry in Alexandria.
Kinematic intensities with the Lorentz-polarization factor, no thermal factor.

Top 10 peaks for 2θ = 15–90°, sorted by position:
2θ = 15.84°, intensity 25.2; 2θ = 24.25°, intensity 22.0; 2θ = 27.76°, intensity 32.1; 2θ = 28.65°, intensity 33.7; 2θ = 31.99°, intensity 100.0; 2θ = 34.31°, intensity 30.5; 2θ = 43.08°, intensity 34.9; 2θ = 48.54°, intensity 32.0; 2θ = 54.99°, intensity 16.4; 2θ = 59.33°, intensity 16.1

Structure:
Cell lengths 7.5007, 7.5007, 8.5151 Å; angles 116.05, 116.05, 60.02 degrees
Fractional positions:
1 Sc 0.0000 0.0000 0.0000
2 Sc 0.0000 0.5000 0.0000
3 Sc 0.5000 0.0000 0.0000
4 Al 0.5000 0.5000 0.0000
5 Tl 0.0000 0.5000 0.5000
6 Tl 0.5000 0.0000 0.5000
7 Tl 0.5000 0.5000 0.5000
8 S 0.2307 0.2307 0.1923
9 S 0.2434 0.7202 0.1840
10 S 0.2798 0.2798 0.8159
11 S 0.2798 0.7566 0.8160
12 S 0.7202 0.2434 0.1840
13 S 0.7202 0.7202 0.1841
14 S 0.7566 0.2798 0.8160
15 S 0.7693 0.7693 0.8077